(1)
Calculated XRD peak list
Compound: Ce3TmZn8
Radiation: CuKα
Structure: a DFT-relaxed cell (PBE, Alexandria)

Structural model:
abc: 9.4683 9.4683 9.4683
angles: 33.70 33.70 33.70
Sites, in units of the cell vectors:
Ce  0.0000  0.0000  0.0000
Ce  0.1209  0.1209  0.1209
Ce  0.6271  0.6271  0.6271
Tm  0.5009  0.5009  0.5009
Zn  0.0617  0.0617  0.5590
Zn  0.0617  0.5590  0.0617
Zn  0.0673  0.5615  0.5615
Zn  0.3124  0.3124  0.3124
Zn  0.5590  0.0617  0.0617
Zn  0.5615  0.0673  0.5615
Zn  0.5615  0.5615  0.0673
Zn  0.8120  0.8120  0.8120

Top 8 peaks for 2θ = 10–90°, by angle:
- d 2.744, intensity 37
- d 2.736, intensity 36
- d 2.338, intensity 100
- d 2.332, intensity 35
- d 2.240, intensity 21
- d 1.583, intensity 21
- d 1.492, intensity 32
- d 1.372, intensity 16


(2)
Calculated XRD peak list
Compound: Ce3TmZn4
Radiation: CuKα
Structure: a DFT-relaxed cell (PBE, Alexandria)

Structural model:
abc: 5.0901 5.0901 7.1919
angles: 90.00 90.00 90.00
Sites, in units of the cell vectors:
Ce  0.0000  0.0000  0.0000
Ce  0.0000  0.0000  0.5000
Ce  0.5000  0.5000  0.0000
Tm  0.5000  0.5000  0.5000
Zn  0.0000  0.5000  0.2613
Zn  0.0000  0.5000  0.7387
Zn  0.5000  0.0000  0.2613
Zn  0.5000  0.0000  0.7387

Top 8 peaks for 2θ = 10–90°, by angle:
- d 3.598, intensity 15
- d 2.544, intensity 100
- d 2.077, intensity 5
- d 1.799, intensity 18
- d 1.609, intensity 6
- d 1.469, intensity 35
- d 1.272, intensity 11
- d 1.138, intensity 15


(3)
Calculated XRD peak list
Compound: CeV4
Radiation: CuKα
Structure: a DFT-relaxed cell (PBE, Alexandria)

Structural model:
abc: 4.4786 4.4786 4.4786
angles: 90.00 90.00 90.00
Sites, in units of the cell vectors:
Ce  0.0000  0.0000  0.0000
V  0.0000  0.0000  0.5000
V  0.0000  0.5000  0.0000
V  0.5000  0.0000  0.0000
V  0.5000  0.5000  0.5000

Top 8 peaks for 2θ = 10–90°, by angle:
- d 4.479, intensity 100
- d 3.167, intensity 84
- d 2.239, intensity 95
- d 2.003, intensity 46
- d 1.828, intensity 35
- d 1.583, intensity 60
- d 1.493, intensity 22
- d 1.293, intensity 19